Starting from a structure optimized by DFT (GGA-PBE), the X-ray diffraction stick pattern of KAl3Ge3 was simulated for Cu Ka.
No peak broadening, texture or thermal motion is included.

Crystal structure
Cell lengths 7.176, 7.176, 7.176 Å; angles 90.00, 90.00, 90.00 degrees
Fractional coordinates of all 14 atoms:
K 0.000 0.000 0.000
K 0.500 0.500 0.500
Al 0.000 0.250 0.500
Al 0.000 0.750 0.500
Al 0.250 0.500 0.000
Al 0.500 0.000 0.250
Al 0.500 0.000 0.750
Al 0.750 0.500 0.000
Ge 0.000 0.500 0.250
Ge 0.000 0.500 0.750
Ge 0.250 0.000 0.500
Ge 0.500 0.250 0.000
Ge 0.500 0.750 0.000
Ge 0.750 0.000 0.500

Top 12 peaks for 2θ from 10° to 80°, in order of rising 2θ:
2theta  intensity  h k l
17.5  36  1 1 0
24.8  43  2 0 0
27.8  56  2 1 0
30.5  100  2 1 1
43.7  43  2 2 2
45.6  15  3 2 0
47.4  55  3 2 1
50.9  34  4 0 0
57.4  15  4 2 0
59.0  14  4 2 1
72.1  15  5 2 1
74.9  21  4 4 0